(1)
The following is a calculated PXRD pattern of SrPr5Tl5. It was derived from a cell relaxed with PBE, using Cu Kα.
Kinematic intensities with the Lorentz-polarization factor, no thermal factor.

Structure:
Unit cell a=16.5958 b=6.1725 c=7.5522 alpha=90.00 beta=100.11 gamma=90.00
Space group C2/m (No. 12)
Symmetry-distinct sites (fractional):
Sr 0.0000 0.0000 0.0000 x2
Pr 0.0000 0.0000 0.5000 x2
Pr 0.1324 0.5000 0.3994 x4
Pr 0.1775 0.5000 0.9023 x4
Tl 0.0000 0.5000 0.0000 x2
Tl 0.1723 0.0000 0.3024 x4
Tl 0.1805 0.0000 0.7307 x4

Largest 10 diffraction maxima, by angle, 10° ≤ 2θ ≤ 80°:
d (Å)	Position (°2θ)	intensity	h k l
3.180	28.06	66	2 0 2
3.086	28.93	100	0 2 0
3.041	29.37	29	1 1 2
3.026	29.52	27	4 0 -2
2.949	30.31	54	3 1 -2
2.723	32.89	51	6 0 0
2.475	36.30	28	5 1 -2
2.254	39.99	27	3 1 -3
2.215	40.74	49	2 2 2
2.042	44.36	46	6 2 0

***

(2)
The following is a calculated PXRD pattern of Tb2ZrSb3. It was derived from a cell relaxed with PBE, using Cu Kα.
Kinematic intensities with the Lorentz-polarization factor, no thermal factor.

Structure:
Unit cell a=4.3103 b=4.3103 c=18.2375 alpha=90.00 beta=90.00 gamma=90.00
Space group I4/mmm (No. 139)
Symmetry-distinct sites (fractional):
Tb 0.0000 0.0000 0.1680 x4
Zr 0.0000 0.0000 0.5000 x2
Sb 0.0000 0.0000 0.0000 x2
Sb 0.0000 0.0000 0.3381 x4

Largest 10 diffraction maxima, by angle, 10° ≤ 2θ ≤ 80°:
d (Å)	Position (°2θ)	intensity	h k l
3.045	29.33	100	1 1 0
2.784	32.15	2	1 0 5
2.153	41.96	75	2 0 0
1.758	52.02	26	2 0 6
1.524	60.78	8	2 2 0
1.520	60.96	4	0 0 12
1.363	68.91	23	3 1 0
1.360	69.06	11	1 1 12
1.244	76.61	17	3 1 6
1.242	76.73	8	2 0 12

***

(3)
The following is a calculated PXRD pattern of GdAl5. It was derived from a cell relaxed with PBE, using Cu Kα.
Kinematic intensities with the Lorentz-polarization factor, no thermal factor.

Structure:
Unit cell a=4.2451 b=12.4015 c=4.2625 alpha=90.00 beta=90.00 gamma=90.00
Space group Cmmm (No. 65)
Symmetry-distinct sites (fractional):
Gd 0.0000 0.0000 0.0000 x2
Al 0.0000 0.1735 0.5000 x4
Al 0.0000 0.3221 0.0000 x4
Al 0.0000 0.5000 0.5000 x2

Largest 10 diffraction maxima, by angle, 10° ≤ 2θ ≤ 80°:
d (Å)	Position (°2θ)	intensity	h k l
6.201	14.28	40	0 2 0
4.263	20.84	21	0 0 1
4.016	22.13	37	1 1 0
3.513	25.36	25	0 2 1
2.962	30.18	17	1 3 0
2.923	30.58	35	1 1 1
2.432	36.96	100	1 3 1
2.131	42.41	17	0 0 2
2.123	42.59	17	2 0 0
2.067	43.80	15	0 6 0

***

(4)
The following is a calculated PXRD pattern of Sr4As2Br5. It was derived from a cell relaxed with PBE, using Cu Kα.
Kinematic intensities with the Lorentz-polarization factor, no thermal factor.

Structure:
Unit cell a=24.1976 b=4.3435 c=8.7290 alpha=90.00 beta=91.46 gamma=90.00
Space group C2/m (No. 12)
Symmetry-distinct sites (fractional):
Sr 0.0153 0.0000 0.2662 x4
Sr 0.1714 0.5000 0.4158 x4
As 0.0483 0.5000 0.5380 x4
Br 0.0000 0.5000 0.0000 x2
Br 0.1386 0.0000 0.1858 x4
Br 0.2037 0.0000 0.6490 x4

Largest 10 diffraction maxima, by angle, 10° ≤ 2θ ≤ 80°:
d (Å)	Position (°2θ)	intensity	h k l
8.726	10.14	58	0 0 1
7.164	12.36	34	2 0 -1
4.032	22.05	31	6 0 0
3.487	25.55	28	3 1 1
3.047	29.31	100	1 1 2
2.880	31.05	33	8 0 -1
2.619	34.24	32	5 1 -2
2.199	41.04	39	9 1 1
2.172	41.58	21	0 2 0
1.524	60.77	16	2 2 4

***

(5)
The following is a calculated PXRD pattern of PrNpRh3. It was derived from a cell relaxed with PBE, using Cu Kα.
Kinematic intensities with the Lorentz-polarization factor, no thermal factor.

Structure:
Unit cell a=6.2416 b=6.2416 c=6.3829 alpha=90.00 beta=90.00 gamma=120.00
Space group P-3m1 (No. 164)
Symmetry-distinct sites (fractional):
Pr 0.3333 0.6667 0.2493 x2
Np 0.0000 0.0000 0.0000 x1
Np 0.0000 0.0000 0.5000 x1
Rh 0.1904 0.3807 0.7500 x6

Largest 10 diffraction maxima, by angle, 10° ≤ 2θ ≤ 80°:
d (Å)	Position (°2θ)	intensity	h k l
5.405	16.40	61	1 0 0
3.121	28.60	54	1 1 0
2.748	32.58	86	0 1 2
2.489	36.09	100	0 2 1
2.062	43.90	85	2 0 2
2.043	44.34	39	2 1 0
1.672	54.92	29	0 2 3
1.560	59.21	32	2 2 0
1.357	69.24	24	3 1 2
1.258	75.62	16	2 1 4

***

(6)
The following is a calculated PXRD pattern of Dy6ErTh4. It was derived from a cell relaxed with PBE, using Cu Kα.
Kinematic intensities with the Lorentz-polarization factor, no thermal factor.

Structure:
Unit cell a=3.4226 b=5.8327 c=35.7082 alpha=90.00 beta=90.00 gamma=90.00
Space group Immm (No. 71)
Symmetry-distinct sites (fractional):
Dy 0.0000 0.0000 0.0953 x4
Dy 0.0000 0.0000 0.2673 x4
Dy 0.0000 0.0000 0.3689 x4
Er 0.0000 0.5000 0.5000 x2
Th 0.0000 0.5000 0.0437 x4
Th 0.0000 0.5000 0.3180 x4

Largest 10 diffraction maxima, by angle, 10° ≤ 2θ ≤ 80°:
d (Å)	Position (°2θ)	intensity	h k l
3.289	27.11	26	1 0 3
3.086	28.93	18	1 0 5
2.916	30.66	66	0 2 0
2.837	31.54	100	0 1 11
2.803	31.93	15	1 1 4
2.644	33.90	39	1 1 6
2.462	36.49	38	1 1 8
2.182	41.38	17	1 2 3
1.668	55.06	20	0 3 11
1.465	63.49	26	2 1 11